Theoretical XRD peak list of AcErS3 for Cu Kα, from a DFT-relaxed cell (PBE, Alexandria).

Main lines, in order of rising 2θ (10 to 90 degrees two-theta):
d (Å), I/Imax
4.222, 41
3.997, 63
3.552, 65
3.363, 51
3.135, 28
2.706, 100
2.386, 26
2.038, 43
1.875, 25
1.837, 32

Unit cell a=8.306 b=4.078 c=14.710 alpha=90.00 beta=90.00 gamma=90.00
Sites, in units of the cell vectors:
Ac1 0.123 0.250 0.192
Ac2 0.377 0.750 0.692
Ac3 0.623 0.250 0.308
Ac4 0.877 0.750 0.808
Er1 0.184 0.750 0.454
Er2 0.316 0.250 0.954
Er3 0.684 0.750 0.046
Er4 0.816 0.250 0.546
S1 0.001 0.750 0.610
S2 0.160 0.750 0.041
S3 0.164 0.250 0.792
S4 0.336 0.750 0.292
S5 0.340 0.250 0.541
S6 0.499 0.250 0.110
S7 0.501 0.750 0.890
S8 0.660 0.750 0.459
S9 0.664 0.250 0.708
S10 0.836 0.750 0.208
S11 0.840 0.250 0.959
S12 0.999 0.250 0.390

---

Theoretical XRD peak list of Tb7Dy4In for Cu Kα, from a DFT-relaxed cell (PBE, Alexandria).

Main lines, in order of rising 2θ (10 to 90 degrees two-theta):
d (Å), I/Imax
2.890, 34
2.850, 35
2.782, 100
2.765, 46
2.749, 31
2.722, 14
2.037, 12
1.936, 11
1.610, 14
1.600, 15

Unit cell a=6.518 b=6.693 c=8.915 alpha=84.10 beta=77.19 gamma=81.61
Sites, in units of the cell vectors:
Tb1 0.000 0.000 0.000
Tb2 0.153 0.608 0.317
Tb3 0.193 0.100 0.390
Tb4 0.464 0.253 0.046
Tb5 0.536 0.747 0.954
Tb6 0.807 0.900 0.610
Tb7 0.847 0.392 0.683
Dy1 0.307 0.701 0.657
Dy2 0.371 0.193 0.713
Dy3 0.629 0.807 0.287
Dy4 0.693 0.299 0.343
In1 0.000 0.500 0.000

---

Theoretical XRD peak list of LiPtSe2S for Cu Kα, from a DFT-relaxed cell (PBE, Alexandria).

Main lines, in order of rising 2θ (10 to 90 degrees two-theta):
d (Å), I/Imax
5.128, 100
3.339, 33
2.798, 95
2.564, 54
2.293, 25
2.199, 17
2.033, 18
1.813, 19
1.669, 29
1.521, 31

Unit cell a=5.128 b=5.128 c=4.399 alpha=90.00 beta=90.00 gamma=90.00
Sites, in units of the cell vectors:
Li1 0.000 0.000 0.000
Pt1 0.500 0.500 0.000
Se1 0.000 0.500 0.500
Se2 0.500 0.000 0.500
S1 0.500 0.500 0.500

---

Theoretical XRD peak list of BaNa2Hg9 for Cu Kα, from a DFT-relaxed cell (PBE, Alexandria).

Main lines, in order of rising 2θ (10 to 90 degrees two-theta):
d (Å), I/Imax
4.424, 17
4.322, 13
2.770, 52
2.745, 100
2.671, 47
2.581, 42
2.573, 42
2.064, 20
1.838, 13
1.632, 16

Unit cell a=5.588 b=7.352 c=8.974 alpha=114.00 beta=101.06 gamma=90.08
Sites, in units of the cell vectors:
Ba1 0.000 0.000 0.000
Na1 0.355 0.325 0.656
Na2 0.645 0.675 0.344
Hg1 0.000 0.500 0.000
Hg2 0.148 0.906 0.359
Hg3 0.149 0.454 0.358
Hg4 0.397 0.850 0.694
Hg5 0.499 0.710 0.995
Hg6 0.501 0.290 0.005
Hg7 0.603 0.150 0.306
Hg8 0.851 0.546 0.642
Hg9 0.852 0.094 0.641